Structure and simulated powder diffraction line list of MgAl2Cu4Ni (the GGA-PBE geometry in OQMD; Cu Ka).
Intensities are scaled so that the largest is 100.

Structure:
```
MgAl2Cu4Ni
1.0
-2.917 2.917 6.066
2.917 -2.917 6.066
2.917 2.917 -6.066
Mg Al Cu Ni
2 4 8 2
direct
0.375 0.625 0.750
0.625 0.375 0.250
0.130 0.380 0.750
0.380 0.130 0.250
0.620 0.870 0.750
0.870 0.620 0.250
0.000 0.235 0.235
0.000 0.765 0.765
0.235 0.000 0.735
0.235 0.500 0.235
0.500 0.235 0.735
0.500 0.765 0.265
0.765 0.000 0.265
0.765 0.500 0.765
0.125 0.875 0.250
0.875 0.125 0.750
```

Top 10 peaks for 2θ from 10° to 80°, sorted by position:
2theta	intensity
16.86	10
26.12	3
29.45	7
30.65	12
43.02	100
43.89	47
53.74	5
61.11	9
63.82	14
78.25	15